Theoretical XRD peak list of NaLiMg6O7 for Cu Kα, 1.54184 Å, from DFT lattice parameters and positions (PBE).
Kinematic intensities with the Lorentz-polarization factor, no thermal factor.

The 10 most intense peaks (5 to 70 degrees two-theta), by angle:
| (hkl) | Position (°2θ) | I_rel |
| --- | --- | --- |
| 0 0 1 | 10.19 | 7 |
| 1 0 1 | 23.20 | 10 |
| 1 0 2 | 29.32 | 9 |
| 1 1 0 | 29.56 | 5 |
| 1 1 1 | 31.34 | 7 |
| 1 1 2 | 36.22 | 17 |
| 0 0 4 | 41.60 | 48 |
| 2 0 0 | 42.30 | 100 |
| 2 0 4 | 60.83 | 53 |
| 2 2 0 | 61.36 | 28 |

abc: 4.2736 4.2736 8.6832
angles: 90.00 90.00 90.00
Space group P4mm (No. 99)
One atom of each set of equivalent atoms:
Na 0.0000 0.0000 0.0000 [1 per cell]
Li 0.0000 0.0000 0.5023 [1 per cell]
Mg 0.0000 0.5000 0.2587 [2 per cell]
Mg 0.0000 0.5000 0.7447 [2 per cell]
Mg 0.5000 0.5000 0.0154 [1 per cell]
Mg 0.5000 0.5000 0.4814 [1 per cell]
O 0.0000 0.0000 0.2610 [1 per cell]
O 0.0000 0.0000 0.7361 [1 per cell]
O 0.0000 0.5000 0.5116 [2 per cell]
O 0.0000 0.5000 0.9773 [2 per cell]
O 0.5000 0.5000 0.2489 [1 per cell]



Theoretical XRD peak list of NaLiMg14O15 for Cu Kα, 1.54184 Å, from DFT lattice parameters and positions (PBE).
Kinematic intensities with the Lorentz-polarization factor, no thermal factor.

The 10 most intense peaks (5 to 70 degrees two-theta), by angle:
| (hkl) | Position (°2θ) | I_rel |
| --- | --- | --- |
| 0 1 0 | 10.32 | 6 |
| 0 1 1 | 14.63 | 3 |
| 1 0 0 | 20.73 | 3 |
| 1 1 0 | 23.22 | 5 |
| 1 1 1 | 25.47 | 3 |
| 0 0 3 | 31.33 | 4 |
| 1 2 2 | 36.34 | 16 |
| 2 0 0 | 42.18 | 100 |
| 0 0 4 | 42.27 | 48 |
| 2 4 0 | 61.22 | 80 |

abc: 4.2831 8.5749 8.5519
angles: 90.00 90.00 90.00
Space group Pmm2 (No. 25)
One atom of each set of equivalent atoms:
Na 0.0000 0.0000 0.0000 [1 per cell]
Li 0.0000 0.5000 0.9806 [1 per cell]
Mg 0.0000 0.0000 0.5053 [1 per cell]
Mg 0.0000 0.2277 0.2458 [2 per cell]
Mg 0.0000 0.2502 0.7657 [2 per cell]
Mg 0.0000 0.5000 0.5248 [1 per cell]
Mg 0.5000 0.0000 0.2484 [1 per cell]
Mg 0.5000 0.0000 0.7596 [1 per cell]
Mg 0.5000 0.2511 0.5026 [2 per cell]
Mg 0.5000 0.2525 0.0058 [2 per cell]
Mg 0.5000 0.5000 0.2427 [1 per cell]
Mg 0.5000 0.5000 0.7718 [1 per cell]
O 0.0000 0.0000 0.2692 [1 per cell]
O 0.0000 0.0000 0.7380 [1 per cell]
O 0.0000 0.2627 0.4908 [2 per cell]
O 0.0000 0.2676 0.0135 [2 per cell]
O 0.0000 0.5000 0.7516 [1 per cell]
O 0.5000 0.0000 0.0068 [1 per cell]
O 0.5000 0.0000 0.5006 [1 per cell]
O 0.5000 0.2534 0.7526 [2 per cell]
O 0.5000 0.2581 0.2543 [2 per cell]
O 0.5000 0.5000 0.0127 [1 per cell]
O 0.5000 0.5000 0.4855 [1 per cell]



Theoretical XRD peak list of NaLiMg14O15 for Cu Kα, 1.54184 Å, from DFT lattice parameters and positions (PBE).
Kinematic intensities with the Lorentz-polarization factor, no thermal factor.

The 10 most intense peaks (5 to 70 degrees two-theta), by angle:
| (hkl) | Position (°2θ) | I_rel |
| --- | --- | --- |
| 0 1 1 | 14.59 | 3 |
| 0 1 2 | 23.25 | 4 |
| 1 1 1 | 25.51 | 3 |
| 1 2 1 | 31.28 | 3 |
| 0 0 3 | 31.39 | 4 |
| 1 2 2 | 36.31 | 16 |
| 0 4 0 | 41.87 | 51 |
| 2 0 0 | 42.33 | 100 |
| 2 4 0 | 61.05 | 55 |
| 2 0 4 | 61.40 | 27 |

abc: 4.2677 8.6302 8.5481
angles: 90.00 90.00 90.00
Space group Pmm2 (No. 25)
One atom of each set of equivalent atoms:
Na 0.0000 0.0000 0.0000 [1 per cell]
Li 0.0000 0.5000 0.9964 [1 per cell]
Mg 0.0000 0.0000 0.5230 [1 per cell]
Mg 0.0000 0.2532 0.7657 [2 per cell]
Mg 0.0000 0.2773 0.2442 [2 per cell]
Mg 0.0000 0.5000 0.5066 [1 per cell]
Mg 0.5000 0.0000 0.2478 [1 per cell]
Mg 0.5000 0.0000 0.7708 [1 per cell]
Mg 0.5000 0.2494 0.5028 [2 per cell]
Mg 0.5000 0.2570 0.0050 [2 per cell]
Mg 0.5000 0.5000 0.2468 [1 per cell]
Mg 0.5000 0.5000 0.7619 [1 per cell]
O 0.0000 0.0000 0.7471 [1 per cell]
O 0.0000 0.2382 0.4898 [2 per cell]
O 0.0000 0.2571 0.0101 [2 per cell]
O 0.0000 0.5000 0.2680 [1 per cell]
O 0.0000 0.5000 0.7426 [1 per cell]
O 0.5000 0.0000 0.0185 [1 per cell]
O 0.5000 0.0000 0.4857 [1 per cell]
O 0.5000 0.2420 0.2539 [2 per cell]
O 0.5000 0.2464 0.7525 [2 per cell]
O 0.5000 0.5000 0.0063 [1 per cell]
O 0.5000 0.5000 0.5013 [1 per cell]



Theoretical XRD peak list of NaLi2MgP for Cu Kα, 1.54184 Å, from DFT lattice parameters and positions (PBE).
Kinematic intensities with the Lorentz-polarization factor, no thermal factor.

The 10 most intense peaks (5 to 70 degrees two-theta), by angle:
| (hkl) | Position (°2θ) | I_rel |
| --- | --- | --- |
| 1 0 0 | 18.20 | 55 |
| 1 0 1 | 25.44 | 38 |
| 1 1 0 | 25.85 | 100 |
| 1 1 1 | 31.46 | 20 |
| 0 0 2 | 35.69 | 34 |
| 2 0 0 | 36.88 | 61 |
| 1 1 2 | 44.59 | 41 |
| 2 0 2 | 52.26 | 42 |
| 2 2 0 | 53.15 | 20 |
| 2 2 2 | 65.67 | 20 |

abc: 4.8742 4.8742 5.0312
angles: 90.00 90.00 90.00
Space group P4/mmm (No. 123)
One atom of each set of equivalent atoms:
Na 0.0000 0.0000 0.0000 [1 per cell]
Li 0.0000 0.5000 0.5000 [2 per cell]
Mg 0.5000 0.5000 0.0000 [1 per cell]
P 0.5000 0.5000 0.5000 [1 per cell]



Theoretical XRD peak list of NaLi2Mg2Pb2 for Cu Kα, 1.54184 Å, from DFT lattice parameters and positions (PBE).
Kinematic intensities with the Lorentz-polarization factor, no thermal factor.

The 10 most intense peaks (5 to 70 degrees two-theta), by angle:
| (hkl) | Position (°2θ) | I_rel |
| --- | --- | --- |
| 0 1 2 | 21.80 | 100 |
| 0 0 6 | 22.89 | 38 |
| 1 0 4 | 25.55 | 84 |
| 1 0 7 | 33.90 | 21 |
| 1 1 0 | 35.74 | 59 |
| 0 1 8 | 37.14 | 25 |
| 2 0 2 | 42.26 | 19 |
| 1 1 6 | 42.87 | 45 |
| 0 2 4 | 44.45 | 20 |
| 2 1 4 | 58.30 | 18 |

abc: 5.0243 5.0243 23.3089
angles: 90.00 90.00 120.00
Space group R-3m (No. 166, hexagonal axes)
One atom of each set of equivalent atoms:
Na 0.0000 0.0000 0.0000 [3 per cell]
Li 0.0000 0.0000 0.1353 [6 per cell]
Mg 0.0000 0.0000 0.4219 [6 per cell]
Pb 0.0000 0.0000 0.2613 [6 per cell]



Theoretical XRD peak list of NaSrLiMg2 for Cu Kα, 1.54184 Å, from DFT lattice parameters and positions (PBE).
Kinematic intensities with the Lorentz-polarization factor, no thermal factor.

The 10 most intense peaks (5 to 70 degrees two-theta), by angle:
| (hkl) | Position (°2θ) | I_rel |
| --- | --- | --- |
| 1 0 0 | 16.48 | 25 |
| 1 0 1 | 23.45 | 45 |
| 1 1 1 | 28.83 | 100 |
| 2 0 0 | 33.32 | 38 |
| 0 0 2 | 33.58 | 19 |
| 2 1 1 | 41.17 | 14 |
| 2 0 2 | 48.03 | 27 |
| 3 1 1 | 56.82 | 28 |
| 1 1 3 | 57.16 | 14 |
| 2 2 2 | 59.71 | 14 |

abc: 5.3781 5.3781 5.3376
angles: 90.00 90.00 90.00
Space group P4/mmm (No. 123)
One atom of each set of equivalent atoms:
Na 0.0000 0.0000 0.0000 [1 per cell]
Sr 0.5000 0.5000 0.0000 [1 per cell]
Li 0.0000 0.0000 0.5000 [1 per cell]
Mg 0.0000 0.5000 0.5000 [2 per cell]



Theoretical XRD peak list of NaLiMgTa2 for Cu Kα, 1.54184 Å, from DFT lattice parameters and positions (PBE).
Kinematic intensities with the Lorentz-polarization factor, no thermal factor.

The 10 most intense peaks (5 to 70 degrees two-theta), by angle:
| (hkl) | Position (°2θ) | I_rel |
| --- | --- | --- |
| 0 0 1 | 18.33 | 89 |
| 1 1 0 | 25.27 | 60 |
| 1 1 1 | 31.39 | 100 |
| 2 0 0 | 36.04 | 45 |
| 0 0 2 | 37.14 | 21 |
| 2 0 1 | 40.72 | 48 |
| 1 1 2 | 45.46 | 26 |
| 2 0 2 | 52.72 | 31 |
| 2 2 1 | 55.49 | 20 |
| 3 1 1 | 61.91 | 29 |

abc: 4.9845 4.9845 4.8411
angles: 90.00 90.00 90.00
Space group P4/mmm (No. 123)
One atom of each set of equivalent atoms:
Na 0.0000 0.0000 0.0000 [1 per cell]
Li 0.5000 0.5000 0.0000 [1 per cell]
Mg 0.5000 0.5000 0.5000 [1 per cell]
Ta 0.0000 0.5000 0.5000 [2 per cell]



Theoretical XRD peak list of LiMgNb for Cu Kα, 1.54184 Å, from DFT lattice parameters and positions (PBE).
Kinematic intensities with the Lorentz-polarization factor, no thermal factor.

The 10 most intense peaks (5 to 70 degrees two-theta), by angle:
| (hkl) | Position (°2θ) | I_rel |
| --- | --- | --- |
| 0 0 1 | 10.00 | 100 |
| 0 0 2 | 20.09 | 9 |
| 0 1 1 | 21.40 | 10 |
| 0 1 2 | 27.70 | 16 |
| 0 1 3 | 35.96 | 29 |
| 0 2 0 | 38.33 | 23 |
| 1 1 -1 | 39.52 | 30 |
| 0 2 1 | 39.67 | 7 |
| 1 1 1 | 39.98 | 7 |
| 1 2 2 | 56.16 | 7 |

abc: 2.7068 4.7020 8.8437
angles: 90.00 91.40 90.00
Space group Pm (No. 6)
One atom of each set of equivalent atoms:
Li 0.0000 0.0000 0.0000 [1 per cell]
Li 0.3223 0.0000 0.3405 [1 per cell]
Mg 0.2933 0.5000 0.8454 [1 per cell]
Mg 0.6629 0.5000 0.1860 [1 per cell]
Nb 0.1082 0.5000 0.5117 [1 per cell]
Nb 0.6907 0.0000 0.6621 [1 per cell]